# Ce2SeF4
Simulated powder diffraction line list, Cu Kα X-rays. Input: the GGA-PBE geometry in the Materials Project.
Peak positions follow from Bragg's law for the DFT cell and can differ from measured ones.

Atomic structure:
Cell: 8.0685 8.0685 8.0685 Å, 29.87 29.87 29.87°
Element x y z (fractional)
Ce (0.2438, 0.2438, 0.2438)
Ce (0.7562, 0.7562, 0.7562)
Se (0.0000, 0.0000, 0.0000)
F (0.1395, 0.1395, 0.1395)
F (0.4306, 0.4306, 0.4306)
F (0.5694, 0.5694, 0.5694)
F (0.8605, 0.8605, 0.8605)

Largest 10 diffraction maxima, low angle first, 2θ = 5–70°:
d [Å]  2θ/deg  I (rel.)
3.852  23.09  26
3.438  25.91  45
3.056  29.22  100
2.841  31.49  18
2.253  40.01  51
2.079  43.53  66
1.830  49.84  20
1.719  53.29  19
1.528  60.60  15
1.413  66.14  22

---

# Ho4In20Ni11
Simulated powder diffraction line list, Cu Kα X-rays. Input: the GGA-PBE geometry in the Materials Project.
Peak positions follow from Bragg's law for the DFT cell and can differ from measured ones.

Atomic structure:
Cell: 11.5097 11.5097 16.6778 Å, 123.51 123.51 21.65°
Element x y z (fractional)
Ho (0.1192, 0.1192, 0.3308)
Ho (0.2291, 0.2291, 0.8266)
Ho (0.7709, 0.7709, 0.1734)
Ho (0.8808, 0.8808, 0.6692)
In (0.0106, 0.0106, 0.0953)
In (0.0631, 0.0631, 0.7901)
In (0.1151, 0.1151, 0.5516)
In (0.2025, 0.2025, 0.0029)
In (0.2470, 0.2470, 0.2909)
In (0.2967, 0.2967, 0.4976)
In (0.3712, 0.3712, 0.8041)
In (0.3887, 0.3887, 0.3089)
In (0.3983, 0.3983, 0.0097)
In (0.4590, 0.4590, 0.6225)
In (0.5410, 0.5410, 0.3775)
In (0.6017, 0.6017, 0.9903)
In (0.6113, 0.6113, 0.6911)
In (0.6288, 0.6288, 0.1959)
In (0.7033, 0.7033, 0.5024)
In (0.7530, 0.7530, 0.7091)
In (0.7975, 0.7975, 0.9971)
In (0.8849, 0.8849, 0.4484)
In (0.9369, 0.9369, 0.2099)
In (0.9894, 0.9894, 0.9047)
Ni (0.0224, 0.0224, 0.5998)
Ni (0.1368, 0.1368, 0.1026)
Ni (0.2542, 0.2542, 0.6176)
Ni (0.3468, 0.3468, 0.1216)
Ni (0.4925, 0.4925, 0.8049)
Ni (0.5000, 0.5000, 0.5000)
Ni (0.5075, 0.5075, 0.1951)
Ni (0.6532, 0.6532, 0.8784)
Ni (0.7458, 0.7458, 0.3824)
Ni (0.8632, 0.8632, 0.8974)
Ni (0.9776, 0.9776, 0.4002)

Largest 10 diffraction maxima, low angle first, 2θ = 5–70°:
d [Å]  2θ/deg  I (rel.)
2.851  31.37  33
2.624  34.17  34
2.605  34.43  42
2.565  34.99  74
2.551  35.17  55
2.535  35.42  45
2.517  35.67  59
2.437  36.88  23
2.162  41.78  100
2.134  42.35  37

---

# LaCo5
Simulated powder diffraction line list, Cu Kα X-rays. Input: the GGA-PBE geometry in the Materials Project.
Peak positions follow from Bragg's law for the DFT cell and can differ from measured ones.

Atomic structure:
Cell: 5.0227 5.0227 3.9604 Å, 90.00 90.00 120.00°
Element x y z (fractional)
La (0.0000, 0.0000, 0.0000)
Co (0.0000, 0.5000, 0.5000)
Co (0.3333, 0.6667, 0.0000)
Co (0.5000, 0.0000, 0.5000)
Co (0.5000, 0.5000, 0.5000)
Co (0.6667, 0.3333, 0.0000)

Largest 10 diffraction maxima, low angle first, 2θ = 5–70°:
d [Å]  2θ/deg  I (rel.)
2.928  30.53  45
2.511  35.75  31
2.175  41.52  35
2.121  42.63  100
1.980  45.82  26
1.906  47.71  8
1.555  59.44  14
1.518  61.02  12
1.464  63.54  19
1.362  68.97  22

---

# KIr4O8
Simulated powder diffraction line list, Cu Kα X-rays. Input: the GGA-PBE geometry in the Materials Project.
Peak positions follow from Bragg's law for the DFT cell and can differ from measured ones.

Atomic structure:
Cell: 7.2966 7.2966 9.9253 Å, 131.19 131.19 25.40°
Element x y z (fractional)
K (0.0000, 0.0000, 0.0000)
Ir (0.1616, 0.1616, 0.8136)
Ir (0.3550, 0.3550, 0.5228)
Ir (0.6450, 0.6450, 0.4772)
Ir (0.8384, 0.8384, 0.1864)
O (0.1451, 0.1451, 0.5998)
O (0.1600, 0.1600, 0.3603)
O (0.2128, 0.2128, 0.0623)
O (0.4556, 0.4556, 0.2791)
O (0.5444, 0.5444, 0.7209)
O (0.7872, 0.7872, 0.9377)
O (0.8400, 0.8400, 0.6397)
O (0.8549, 0.8549, 0.4002)

Largest 10 diffraction maxima, low angle first, 2θ = 5–70°:
d [Å]  2θ/deg  I (rel.)
7.322  12.09  60
7.106  12.46  59
5.251  16.88  39
4.960  17.88  55
3.271  27.27  60
3.182  28.04  62
2.650  33.83  100
2.628  34.12  85
2.620  34.23  39
2.600  34.50  93

---

# LaSb3O9
Simulated powder diffraction line list, Cu Kα X-rays. Input: the GGA-PBE geometry in the Materials Project.
Peak positions follow from Bragg's law for the DFT cell and can differ from measured ones.

Atomic structure:
Cell: 5.5880 5.5880 11.9126 Å, 90.00 90.00 107.13°
Element x y z (fractional)
La (0.2454, 0.7546, 0.7500)
La (0.7546, 0.2454, 0.2500)
Sb (0.1216, 0.8784, 0.0917)
Sb (0.1216, 0.8784, 0.4083)
Sb (0.5000, 0.5000, 0.0000)
Sb (0.5000, 0.5000, 0.5000)
Sb (0.8784, 0.1216, 0.5917)
Sb (0.8784, 0.1216, 0.9083)
O (0.0566, 0.9434, 0.2500)
O (0.1041, 0.8959, 0.5747)
O (0.1041, 0.8959, 0.9253)
O (0.1924, 0.4180, 0.5999)
O (0.1924, 0.4180, 0.9001)
O (0.3365, 0.6635, 0.1167)
O (0.3365, 0.6635, 0.3833)
O (0.4180, 0.1924, 0.0999)
O (0.4180, 0.1924, 0.4001)
O (0.5820, 0.8076, 0.5999)
O (0.5820, 0.8076, 0.9001)
O (0.6635, 0.3365, 0.6167)
O (0.6635, 0.3365, 0.8833)
O (0.8076, 0.5820, 0.0999)
O (0.8076, 0.5820, 0.4001)
O (0.8959, 0.1041, 0.0747)
O (0.8959, 0.1041, 0.4253)
O (0.9434, 0.0566, 0.7500)

Largest 10 diffraction maxima, low angle first, 2θ = 5–70°:
d [Å]  2θ/deg  I (rel.)
3.588  24.81  55
3.319  26.86  98
3.186  28.00  100
2.976  30.03  30
2.732  32.79  26
2.662  33.66  39
2.602  34.48  31
2.436  36.89  37
1.890  48.15  30
1.794  50.89  35

---

# LiCu2Rh4O8
Simulated powder diffraction line list, Cu Kα X-rays. Input: the GGA-PBE geometry in the Materials Project.
Peak positions follow from Bragg's law for the DFT cell and can differ from measured ones.

Atomic structure:
Cell: 6.2737 6.2744 6.2766 Å, 119.95 119.97 90.04°
Element x y z (fractional)
Li (0.0000, 0.0000, 0.0000)
Cu (0.4998, 0.5004, 0.0005)
Cu (0.7507, 0.2504, 0.5004)
Rh (0.1318, 0.3956, 0.2637)
Rh (0.1318, 0.8681, 0.2638)
Rh (0.1320, 0.8682, 0.7363)
Rh (0.6043, 0.8682, 0.7363)
O (0.3450, 0.1151, 0.2298)
O (0.3633, 0.0901, 0.7264)
O (0.3629, 0.6362, 0.7263)
O (0.3637, 0.6370, 0.2737)
O (0.8848, 0.1147, 0.2297)
O (0.8853, 0.1153, 0.7703)
O (0.8850, 0.6552, 0.7704)
O (0.9099, 0.6366, 0.2737)

Largest 10 diffraction maxima, low angle first, 2θ = 5–70°:
d [Å]  2θ/deg  I (rel.)
5.125  17.30  37
3.138  28.44  20
2.676  33.48  100
2.562  35.02  28
2.219  40.66  26
2.036  44.49  6
1.812  50.36  8
1.708  53.65  40
1.569  58.85  46
1.354  69.43  10